# 1
Structure and computed powder diffractogram of Rb3AgI4 (a structure optimized by DFT (GGA-PBE); Cu Kα).
Lines closer than 0.1° are merged.

Structure:
Unit cell a=12.0952 b=9.9516 c=7.4220 alpha=90.00 beta=90.00 gamma=90.00
Fractional positions:
Rb: 0.0000 0.1371 0.0000
Rb: 0.2304 0.3318 0.5038
Rb: 0.2696 0.6682 0.0038
Rb: 0.5000 0.8629 0.5000
Rb: 0.7304 0.6682 0.0038
Rb: 0.7696 0.3318 0.5038
Ag: 0.0000 0.8114 0.4089
Ag: 0.5000 0.1886 0.9089
I: 0.0000 0.1003 0.5002
I: 0.0000 0.7852 0.0233
I: 0.2174 0.6985 0.5056
I: 0.2826 0.3015 0.0056
I: 0.5000 0.2148 0.5233
I: 0.5000 0.8997 0.0002
I: 0.7174 0.3015 0.0056
I: 0.7826 0.6985 0.5056

Peak list (10 most intense, 10° ≤ 2θ ≤ 90°, low angle first)
17.16 deg, 5.168 Å, intensity 100
17.83 deg, 4.976 Å, intensity 66
23.98 deg, 3.711 Å, intensity 99
29.54 deg, 3.024 Å, intensity 58
29.64 deg, 3.014 Å, intensity 46
30.04 deg, 2.975 Å, intensity 28
30.74 deg, 2.908 Å, intensity 69
30.98 deg, 2.887 Å, intensity 28
38.40 deg, 2.344 Å, intensity 43
39.36 deg, 2.289 Å, intensity 57


# 2
Structure and computed powder diffractogram of Rb2ReAgI6 (a structure optimized by DFT (GGA-PBE); Cu Kα).
Lines closer than 0.1° are merged.

Structure:
Unit cell a=8.2274 b=8.2274 c=8.2274 alpha=119.98 beta=119.98 gamma=90.04
Fractional positions:
Rb: 0.2500 0.7500 0.5000
Rb: 0.7500 0.2500 0.5000
Re: 0.0000 0.0000 0.0000
Ag: 0.5000 0.5000 0.0000
I: 0.2387 0.2387 0.0000
I: 0.2385 0.2385 0.4771
I: 0.2385 0.7615 0.0000
I: 0.7615 0.2385 0.0000
I: 0.7613 0.7613 0.0000
I: 0.7615 0.7615 0.5229

Peak list (10 most intense, 10° ≤ 2θ ≤ 90°, low angle first)
15.23 deg, 5.818 Å, intensity 52
21.60 deg, 4.114 Å, intensity 16
26.53 deg, 3.359 Å, intensity 52
30.73 deg, 2.909 Å, intensity 100
34.47 deg, 2.602 Å, intensity 27
44.02 deg, 2.057 Å, intensity 72
52.14 deg, 1.754 Å, intensity 22
54.64 deg, 1.680 Å, intensity 25
72.68 deg, 1.301 Å, intensity 31
80.95 deg, 1.188 Å, intensity 23


# 3
Structure and computed powder diffractogram of RbScAg2I6 (a structure optimized by DFT (GGA-PBE); Cu Kα).
Lines closer than 0.1° are merged.

Structure:
Unit cell a=10.7397 b=10.7397 c=8.9583 alpha=106.74 beta=106.74 gamma=82.67
Fractional positions:
Rb: 0.1645 0.8355 0.7500
Rb: 0.8355 0.1645 0.2500
Sc: 0.1759 0.8241 0.2500
Sc: 0.8241 0.1759 0.7500
Ag: 0.3909 0.4850 0.8567
Ag: 0.4850 0.3909 0.3567
Ag: 0.5150 0.6091 0.6433
Ag: 0.6091 0.5150 0.1433
I: 0.0486 0.1836 0.6703
I: 0.1590 0.6092 0.9909
I: 0.1836 0.0486 0.1703
I: 0.2820 0.4522 0.5195
I: 0.3908 0.8410 0.5091
I: 0.4522 0.2820 0.0195
I: 0.5478 0.7180 0.9805
I: 0.6092 0.1590 0.4909
I: 0.7180 0.5478 0.4805
I: 0.8164 0.9514 0.8297
I: 0.8410 0.3908 0.0091
I: 0.9514 0.8164 0.3297

Peak list (10 most intense, 10° ≤ 2θ ≤ 90°, low angle first)
11.88 deg, 7.448 Å, intensity 79
16.46 deg, 5.385 Å, intensity 47
21.33 deg, 4.166 Å, intensity 51
23.55 deg, 3.778 Å, intensity 43
23.90 deg, 3.724 Å, intensity 53
25.26 deg, 3.526 Å, intensity 39
25.41 deg, 3.505 Å, intensity 100
27.36 deg, 3.260 Å, intensity 39
28.31 deg, 3.152 Å, intensity 45
39.45 deg, 2.284 Å, intensity 43


# 4
Structure and computed powder diffractogram of RbAgTeI5 (a structure optimized by DFT (GGA-PBE); Cu Kα).
Lines closer than 0.1° are merged.

Structure:
Unit cell a=8.2680 b=8.2680 c=12.4341 alpha=104.32 beta=104.32 gamma=101.56
Fractional positions:
Rb: 0.0781 0.9219 0.7500
Rb: 0.9219 0.0781 0.2500
Ag: 0.4613 0.5387 0.7500
Ag: 0.5387 0.4613 0.2500
Te: 0.0000 0.5000 0.0000
Te: 0.5000 0.0000 0.5000
I: 0.2065 0.2728 0.0883
I: 0.2086 0.7914 0.2500
I: 0.2728 0.2065 0.5883
I: 0.2894 0.6589 0.9210
I: 0.3411 0.7106 0.5790
I: 0.6589 0.2894 0.4210
I: 0.7106 0.3411 0.0790
I: 0.7272 0.7935 0.4117
I: 0.7914 0.2086 0.7500
I: 0.7935 0.7272 0.9117

Peak list (10 most intense, 10° ≤ 2θ ≤ 90°, low angle first)
11.68 deg, 7.576 Å, intensity 48
15.77 deg, 5.620 Å, intensity 87
18.89 deg, 4.697 Å, intensity 44
25.50 deg, 3.493 Å, intensity 100
28.53 deg, 3.129 Å, intensity 40
29.20 deg, 3.058 Å, intensity 44
29.38 deg, 3.040 Å, intensity 50
35.55 deg, 2.525 Å, intensity 38
37.38 deg, 2.406 Å, intensity 55
48.55 deg, 1.875 Å, intensity 38


# 5
Structure and computed powder diffractogram of RbThAg2I8 (a structure optimized by DFT (GGA-PBE); Cu Kα).
Lines closer than 0.1° are merged.

Structure:
Unit cell a=7.8728 b=7.8728 c=10.6410 alpha=90.51 beta=90.51 gamma=63.08
Fractional positions:
Rb: 0.0000 0.0000 0.0000
Th: 0.0000 0.0000 0.5000
Ag: 0.3372 0.3372 0.7410
Ag: 0.6628 0.6628 0.2590
I: 0.2300 0.2300 0.5095
I: 0.2549 0.7403 0.7098
I: 0.2597 0.7451 0.2902
I: 0.2707 0.2707 0.9829
I: 0.7293 0.7293 0.0171
I: 0.7403 0.2549 0.7098
I: 0.7451 0.2597 0.2902
I: 0.7700 0.7700 0.4905

Peak list (10 most intense, 10° ≤ 2θ ≤ 90°, low angle first)
15.08 deg, 5.874 Å, intensity 71
15.69 deg, 5.649 Å, intensity 40
21.01 deg, 4.229 Å, intensity 37
22.62 deg, 3.931 Å, intensity 41
25.38 deg, 3.510 Å, intensity 72
26.57 deg, 3.355 Å, intensity 65
27.39 deg, 3.257 Å, intensity 100
33.69 deg, 2.660 Å, intensity 45
38.41 deg, 2.343 Å, intensity 81
38.66 deg, 2.329 Å, intensity 66


# 6
Structure and computed powder diffractogram of Rb2TlAg2I6 (a structure optimized by DFT (GGA-PBE); Cu Kα).
Lines closer than 0.1° are merged.

Structure:
Unit cell a=8.9893 b=8.9893 c=8.4251 alpha=115.46 beta=115.46 gamma=57.34
Fractional positions:
Rb: 0.2414 0.2414 0.1990
Rb: 0.7586 0.7586 0.8010
Tl: 0.0000 0.0000 0.5000
Ag: 0.4363 0.4363 0.8024
Ag: 0.5637 0.5637 0.1976
I: 0.1997 0.6849 0.1864
I: 0.2375 0.2375 0.6335
I: 0.3151 0.8003 0.8136
I: 0.6849 0.1997 0.1864
I: 0.7625 0.7625 0.3665
I: 0.8003 0.3151 0.8136

Peak list (10 most intense, 10° ≤ 2θ ≤ 90°, low angle first)
12.88 deg, 6.876 Å, intensity 38
14.71 deg, 6.023 Å, intensity 87
19.95 deg, 4.451 Å, intensity 39
23.93 deg, 3.719 Å, intensity 36
24.14 deg, 3.687 Å, intensity 100
24.36 deg, 3.653 Å, intensity 36
29.66 deg, 3.011 Å, intensity 89
30.02 deg, 2.977 Å, intensity 44
39.88 deg, 2.260 Å, intensity 53
41.90 deg, 2.156 Å, intensity 41


# 7
Structure and computed powder diffractogram of Rb2TlAg2I7 (a structure optimized by DFT (GGA-PBE); Cu Kα).
Lines closer than 0.1° are merged.

Structure:
Unit cell a=15.2999 b=15.2999 c=15.2999 alpha=158.09 beta=158.09 gamma=31.17
Fractional positions:
Rb: 0.1767 0.1767 0.0000
Rb: 0.8233 0.8233 0.0000
Tl: 0.0000 0.0000 0.0000
Ag: 0.4010 0.4010 0.0000
Ag: 0.5990 0.5990 0.0000
I: 0.0885 0.5885 0.5000
I: 0.3031 0.3031 0.0000
I: 0.4115 0.9115 0.5000
I: 0.5000 0.5000 0.0000
I: 0.5885 0.0885 0.5000
I: 0.6969 0.6969 0.0000
I: 0.9115 0.4115 0.5000

Peak list (10 most intense, 10° ≤ 2θ ≤ 90°, low angle first)
21.62 deg, 4.111 Å, intensity 25
24.80 deg, 3.590 Å, intensity 34
28.31 deg, 3.153 Å, intensity 91
30.32 deg, 2.947 Å, intensity 34
30.76 deg, 2.907 Å, intensity 100
43.74 deg, 2.070 Å, intensity 49
44.05 deg, 2.056 Å, intensity 37
53.19 deg, 1.722 Å, intensity 31
54.42 deg, 1.686 Å, intensity 25
72.71 deg, 1.301 Å, intensity 26


# 8
Structure and computed powder diffractogram of RbVAgI6 (a structure optimized by DFT (GGA-PBE); Cu Kα).
Lines closer than 0.1° are merged.

Structure:
Unit cell a=7.8148 b=7.8148 c=7.8590 alpha=92.24 beta=92.24 gamma=123.47
Fractional positions:
Rb: 0.0000 0.0000 0.0000
V: 0.3365 0.6635 0.5000
Ag: 0.6537 0.3463 0.5000
I: 0.0146 0.6355 0.6977
I: 0.0185 0.4144 0.2724
I: 0.3339 0.3837 0.6895
I: 0.3645 0.9854 0.3023
I: 0.5856 0.9815 0.7276
I: 0.6163 0.6661 0.3105

Peak list (10 most intense, 10° ≤ 2θ ≤ 90°, low angle first)
11.30 deg, 7.832 Å, intensity 78
17.11 deg, 5.183 Å, intensity 49
18.36 deg, 4.832 Å, intensity 38
25.08 deg, 3.551 Å, intensity 92
25.85 deg, 3.447 Å, intensity 55
25.98 deg, 3.429 Å, intensity 94
31.68 deg, 2.824 Å, intensity 100
34.76 deg, 2.581 Å, intensity 69
41.68 deg, 2.167 Å, intensity 49
42.51 deg, 2.126 Å, intensity 37


# 9
Structure and computed powder diffractogram of Ag3SI (a structure optimized by DFT (GGA-PBE); Cu Kα).
Lines closer than 0.1° are merged.

Structure:
Unit cell a=4.9347 b=7.0582 c=6.9705 alpha=90.00 beta=90.49 gamma=90.00
Fractional positions:
Ag: 0.0705 0.0000 0.3450
Ag: 0.3987 0.8528 0.9809
Ag: 0.4246 0.3563 0.4403
Ag: 0.5754 0.8563 0.5597
Ag: 0.6013 0.3528 0.0191
Ag: 0.9295 0.5000 0.6550
S: 0.4342 0.5664 0.7450
S: 0.5658 0.0664 0.2550
I: 0.0113 0.5844 0.2244
I: 0.9887 0.0844 0.7756

Peak list (10 most intense, 10° ≤ 2θ ≤ 90°, low angle first)
25.54 deg, 3.487 Å, intensity 64
31.16 deg, 2.871 Å, intensity 100
31.30 deg, 2.858 Å, intensity 65
33.83 deg, 2.649 Å, intensity 28
36.23 deg, 2.480 Å, intensity 77
36.42 deg, 2.467 Å, intensity 30
40.94 deg, 2.205 Å, intensity 36
44.61 deg, 2.031 Å, intensity 33
45.14 deg, 2.008 Å, intensity 37
52.14 deg, 1.754 Å, intensity 26


# 10
Structure and computed powder diffractogram of Ag9S4I4 (a structure optimized by DFT (GGA-PBE); Cu Kα).
Lines closer than 0.1° are merged.

Structure:
Unit cell a=4.1276 b=4.1276 c=26.9368 alpha=90.49 beta=90.49 gamma=63.06
Fractional positions:
Ag: 0.0000 0.0000 0.0000
Ag: 0.0041 0.0041 0.6296
Ag: 0.2162 0.2162 0.5298
Ag: 0.3269 0.3269 0.8611
Ag: 0.3369 0.3369 0.2817
Ag: 0.6601 0.6601 0.7183
Ag: 0.6724 0.6724 0.1389
Ag: 0.7820 0.7820 0.4703
Ag: 0.9928 0.9928 0.3704
S: 0.2710 0.2710 0.4280
S: 0.3108 0.3108 0.6781
S: 0.6858 0.6858 0.3220
S: 0.7256 0.7256 0.5721
I: 0.0140 0.0140 0.2033
I: 0.3407 0.3407 0.0680
I: 0.6591 0.6591 0.9320
I: 0.9849 0.9849 0.7967

Peak list (10 most intense, 10° ≤ 2θ ≤ 90°, low angle first)
27.56 deg, 3.236 Å, intensity 23
29.32 deg, 3.046 Å, intensity 100
30.49 deg, 2.932 Å, intensity 72
31.35 deg, 2.853 Å, intensity 28
33.61 deg, 2.666 Å, intensity 24
38.89 deg, 2.316 Å, intensity 36
41.85 deg, 2.158 Å, intensity 43
43.93 deg, 2.061 Å, intensity 42
52.65 deg, 1.738 Å, intensity 30
71.18 deg, 1.325 Å, intensity 24